[1]
For ZrPdC, the PBE geometry in Alexandria gives the computed X-ray powder pattern in this record (a wavelength of 1.5418 Å).
Lines closer than 0.1° are merged.

Principal peaks in the range 5° ≤ 2θ ≤ 70°, by intensity:
- 37.7 deg, d 2.383, rel. 1000, hkl 1 1 1
- 33.7 deg, d 2.660, rel. 750, hkl 1 1 -1
- 42.0 deg, d 2.149, rel. 694, hkl 1 1 -2
- 31.4 deg, d 2.845, rel. 389, hkl 0 0 2
- 15.6 deg, d 5.690, rel. 376, hkl 0 0 1
- 48.1 deg, d 1.892, rel. 299, hkl 0 2 0
- 43.2 deg, d 2.094, rel. 295, hkl 2 0 -1
- 28.3 deg, d 3.151, rel. 225, hkl 0 1 1
- 43.6 deg, d 2.077, rel. 206, hkl 2 0 0
- 32.0 deg, d 2.797, rel. 176, hkl 1 1 0
- 66.6 deg, d 1.404, rel. 156, hkl 2 2 -1
- 58.6 deg, d 1.575, rel. 129, hkl 0 2 2

Cell and atoms:
Cell lengths 4.2436, 3.7839, 5.8139 Å; angles 90.00, 101.85, 90.00 degrees
Space group P2/m (No. 10)
Asymmetric unit:
Zr1 0.1773 0.0000 0.2622 [2 per cell]
Pd1 0.2942 0.5000 0.6588 [2 per cell]
C1 0.3562 0.0000 0.9152 [2 per cell]

[2]
For La12Nd7Dy, the PBE geometry in Alexandria gives the computed X-ray powder pattern in this record (a wavelength of 1.5418 Å).
Lines closer than 0.1° are merged.

Principal peaks in the range 5° ≤ 2θ ≤ 70°, by intensity:
- 30.0 deg, d 2.978, rel. 1000, hkl 4 -3 1
- 31.6 deg, d 2.828, rel. 723, hkl 3 1 2
- 31.5 deg, d 2.841, rel. 442, hkl 3 -1 4
- 29.9 deg, d 2.988, rel. 408, hkl 0 3 3
- 29.7 deg, d 3.009, rel. 290, hkl 0 1 5
- 28.0 deg, d 3.182, rel. 234, hkl 0 2 4
- 55.4 deg, d 1.659, rel. 173, hkl 7 -6 1
- 52.2 deg, d 1.751, rel. 163, hkl 2 5 0
- 37.3 deg, d 2.411, rel. 161, hkl 2 -1 6
- 33.0 deg, d 2.716, rel. 156, hkl 2 0 5
- 52.2 deg, d 1.753, rel. 145, hkl 3 4 2
- 51.9 deg, d 1.761, rel. 143, hkl 5 -4 6

Cell and atoms:
Cell lengths 12.6289, 12.6289, 15.6488 Å; angles 90.00, 90.00, 120.00 degrees
Space group R-3 (No. 148, hexagonal axes)
Asymmetric unit:
La1 0.0215 0.4436 0.2231 [18 per cell]
La2 0.0663 0.5926 0.5773 [18 per cell]
Nd1 0.0000 0.0000 0.0000 [3 per cell]
Nd2 0.0588 0.1853 0.3025 [18 per cell]
Dy1 0.0000 0.0000 0.5000 [3 per cell]

[3]
For LaFe4P12, the PBE geometry in Alexandria gives the computed X-ray powder pattern in this record (a wavelength of 1.5418 Å).
Lines closer than 0.1° are merged.

Principal peaks in the range 5° ≤ 2θ ≤ 70°, by intensity:
- 36.3 deg, d 2.473, rel. 1000, hkl 3 0 1
- 32.4 deg, d 2.765, rel. 864, hkl 2 2 0
- 43.3 deg, d 2.090, rel. 700, hkl 3 1 2
- 57.8 deg, d 1.596, rel. 626, hkl 4 2 2
- 60.4 deg, d 1.534, rel. 450, hkl 4 3 1
- 16.0 deg, d 5.530, rel. 360, hkl 1 1 0
- 27.9 deg, d 3.193, rel. 256, hkl 2 1 1
- 52.3 deg, d 1.749, rel. 171, hkl 4 0 2
- 46.4 deg, d 1.955, rel. 140, hkl 4 0 0
- 65.4 deg, d 1.428, rel. 92, hkl 5 1 2
- 67.8 deg, d 1.382, rel. 62, hkl 4 4 0
- 49.4 deg, d 1.843, rel. 49, hkl 4 1 1

Cell and atoms:
Cell lengths 7.8202, 7.8202, 7.8202 Å; angles 90.00, 90.00, 90.00 degrees
Space group Im-3 (No. 204)
Asymmetric unit:
La1 0.0000 0.0000 0.0000 [2 per cell]
Fe1 0.2500 0.2500 0.2500 [8 per cell]
P1 0.0000 0.3535 0.1523 [24 per cell]

[4]
For PaTlAuO4, the PBE geometry in Alexandria gives the computed X-ray powder pattern in this record (a wavelength of 1.5418 Å).
Lines closer than 0.1° are merged.

Principal peaks in the range 5° ≤ 2θ ≤ 70°, by intensity:
- 30.5 deg, d 2.934, rel. 1000, hkl 2 1 1
- 30.0 deg, d 2.974, rel. 932, hkl 0 2 2
- 26.9 deg, d 3.311, rel. 883, hkl 1 0 3
- 29.9 deg, d 2.989, rel. 831, hkl 1 2 1
- 49.4 deg, d 1.847, rel. 598, hkl 2 2 4
- 15.3 deg, d 5.805, rel. 486, hkl 1 0 1
- 24.1 deg, d 3.693, rel. 426, hkl 1 1 2
- 48.2 deg, d 1.887, rel. 354, hkl 2 3 1
- 55.5 deg, d 1.656, rel. 290, hkl 2 0 6
- 48.9 deg, d 1.864, rel. 275, hkl 3 2 1
- 30.8 deg, d 2.903, rel. 270, hkl 2 0 2
- 63.4 deg, d 1.467, rel. 269, hkl 4 2 2

Cell and atoms:
Cell lengths 6.7449, 6.9726, 11.4028 Å; angles 90.00, 90.00, 90.00 degrees
Space group Imma (No. 74)
Asymmetric unit:
Pa1 0.0000 0.0000 0.0000 [4 per cell]
Tl1 0.0000 0.2500 0.3301 [4 per cell]
Au1 0.2500 0.2500 0.7500 [4 per cell]
O1 0.0000 0.0640 0.8046 [8 per cell]
O2 0.1910 0.2500 0.0228 [8 per cell]

[5]
For Tb2Y2Ga4Cu, the PBE geometry in Alexandria gives the computed X-ray powder pattern in this record (a wavelength of 1.5418 Å).
Lines closer than 0.1° are merged.

Principal peaks in the range 5° ≤ 2θ ≤ 70°, by intensity:
- 33.2 deg, d 2.697, rel. 1000, hkl 2 0 2
- 36.6 deg, d 2.457, rel. 703, hkl 2 2 0
- 34.0 deg, d 2.637, rel. 327, hkl 1 0 3
- 63.7 deg, d 1.461, rel. 289, hkl 4 2 2
- 43.1 deg, d 2.101, rel. 276, hkl 2 1 3
- 52.7 deg, d 1.737, rel. 239, hkl 4 0 0
- 18.1 deg, d 4.914, rel. 224, hkl 1 1 0
- 25.6 deg, d 3.475, rel. 184, hkl 2 0 0
- 57.7 deg, d 1.597, rel. 170, hkl 3 2 3
- 57.1 deg, d 1.613, rel. 158, hkl 2 2 4
- 64.2 deg, d 1.451, rel. 101, hkl 4 1 3
- 42.3 deg, d 2.138, rel. 101, hkl 0 0 4

Cell and atoms:
Cell lengths 6.9497, 6.9497, 8.5512 Å; angles 90.00, 90.00, 90.00 degrees
Space group I4/mmm (No. 139)
Asymmetric unit:
Tb1 0.0000 0.0000 0.1898 [4 per cell]
Y1 0.0000 0.5000 0.2500 [4 per cell]
Ga1 0.2400 0.2400 0.5000 [8 per cell]
Cu1 0.0000 0.0000 0.5000 [2 per cell]

[6]
For Hf4GaSe, the PBE geometry in Alexandria gives the computed X-ray powder pattern in this record (a wavelength of 1.5418 Å).
Lines closer than 0.1° are merged.

Principal peaks in the range 5° ≤ 2θ ≤ 70°, by intensity:
- 38.0 deg, d 2.367, rel. 1000, hkl 1 7 0
- 39.8 deg, d 2.267, rel. 791, hkl 1 3 2
- 36.6 deg, d 2.453, rel. 646, hkl 2 0 0
- 9.3 deg, d 9.461, rel. 523, hkl 0 2 0
- 33.4 deg, d 2.682, rel. 434, hkl 0 2 2
- 29.8 deg, d 2.996, rel. 320, hkl 1 5 0
- 18.7 deg, d 4.745, rel. 316, hkl 1 1 0
- 37.4 deg, d 2.407, rel. 302, hkl 0 4 2
- 50.4 deg, d 1.810, rel. 294, hkl 2 2 2
- 66.9 deg, d 1.399, rel. 292, hkl 0 0 4
- 44.3 deg, d 2.044, rel. 279, hkl 1 5 2
- 28.0 deg, d 3.184, rel. 255, hkl 1 3 1

Cell and atoms:
Cell lengths 4.9059, 18.9215, 5.5932 Å; angles 90.00, 90.00, 90.00 degrees
Space group Cmcm (No. 63)
Asymmetric unit:
Hf1 0.0000 0.0650 0.2500 [4 per cell]
Hf2 0.0000 0.2056 0.5009 [8 per cell]
Hf3 0.0000 0.3741 0.2500 [4 per cell]
Ga1 0.0000 0.3476 0.7500 [4 per cell]
Se1 0.0000 0.0749 0.7500 [4 per cell]